1.
For UAl5Cu6, a structure optimized by DFT (GGA-PBE) gives the theoretical X-ray powder pattern in this record (copper Kα).
Neutral-atom scattering factors, no anomalous dispersion.

Principal peaks in the range 10 to 90 degrees two-theta, by intensity:
2θ = 23.89°, intensity 100; 2θ = 33.41°, intensity 86; 2θ = 39.18°, intensity 84; 2θ = 38.50°, intensity 77; 2θ = 39.95°, intensity 70; 2θ = 42.02°, intensity 61; 2θ = 29.88°, intensity 44; 2θ = 34.92°, intensity 34; 2θ = 38.16°, intensity 32; 2θ = 29.30°, intensity 30

Atomic structure:
Cell lengths 10.3276, 8.1945, 7.8266 Å; angles 80.24, 51.44, 48.32 degrees
Fractional positions:
U 0.1250 0.1250 0.1250
U 0.8750 0.8750 0.8750
Al 0.0534 0.3711 0.7869
Al 0.2131 0.7114 0.9466
Al 0.2886 0.7869 0.3711
Al 0.3711 0.0534 0.2886
Al 0.3750 0.3750 0.3750
Al 0.6250 0.6250 0.6250
Al 0.6289 0.9466 0.7114
Al 0.7114 0.2131 0.6289
Al 0.7869 0.2886 0.0534
Al 0.9466 0.6289 0.2131
Cu 0.0000 0.5000 0.5000
Cu 0.0576 0.7651 0.3674
Cu 0.2349 0.9424 0.6902
Cu 0.3098 0.3674 0.7651
Cu 0.3674 0.3098 0.0576
Cu 0.5000 0.0000 0.5000
Cu 0.5000 0.5000 0.0000
Cu 0.5000 0.5000 0.5000
Cu 0.6326 0.6902 0.9424
Cu 0.6902 0.6326 0.2349
Cu 0.7651 0.0576 0.3098
Cu 0.9424 0.2349 0.6326

2.
For Al2V3Cu2, a structure optimized by DFT (GGA-PBE) gives the theoretical X-ray powder pattern in this record (copper Kα).
Neutral-atom scattering factors, no anomalous dispersion.

Principal peaks in the range 10 to 90 degrees two-theta, by intensity:
2θ = 42.61°, intensity 100; 2θ = 42.70°, intensity 49; 2θ = 77.99°, intensity 25; 2θ = 61.89°, intensity 22; 2θ = 26.15°, intensity 12; 2θ = 78.24°, intensity 10; 2θ = 78.07°, intensity 7; 2θ = 63.67°, intensity 4; 2θ = 24.71°, intensity 3; 2θ = 14.65°, intensity 3

Atomic structure:
Cell lengths 4.2448, 4.2448, 6.5258 Å; angles 109.04, 109.04, 60.03 degrees
Fractional positions:
Al 0.0757 0.0757 0.2268
Al 0.9243 0.9243 0.7732
V 0.3529 0.3529 0.0590
V 0.5000 0.5000 0.5000
V 0.6471 0.6471 0.9410
Cu 0.2154 0.2154 0.6471
Cu 0.7846 0.7846 0.3529

3.
For Al6CuW2, a structure optimized by DFT (GGA-PBE) gives the theoretical X-ray powder pattern in this record (copper Kα).
Neutral-atom scattering factors, no anomalous dispersion.

Principal peaks in the range 10 to 90 degrees two-theta, by intensity:
2θ = 15.01°, intensity 100; 2θ = 40.52°, intensity 84; 2θ = 40.92°, intensity 83; 2θ = 21.57°, intensity 68; 2θ = 30.48°, intensity 52; 2θ = 41.06°, intensity 42; 2θ = 42.15°, intensity 37; 2θ = 40.79°, intensity 36; 2θ = 60.31°, intensity 25; 2θ = 28.52°, intensity 24

Atomic structure:
Cell lengths 6.7969, 6.7969, 5.2345 Å; angles 112.09, 112.09, 37.74 degrees
Fractional positions:
Al 0.1024 0.1024 0.1810
Al 0.2087 0.2087 0.8385
Al 0.3352 0.3352 0.5135
Al 0.6648 0.6648 0.4865
Al 0.7913 0.7913 0.1615
Al 0.8976 0.8976 0.8190
Cu 0.0000 0.0000 0.5000
W 0.4377 0.4377 0.1524
W 0.5623 0.5623 0.8476

4.
For Y6Al7Cu16, a structure optimized by DFT (GGA-PBE) gives the theoretical X-ray powder pattern in this record (copper Kα).
Neutral-atom scattering factors, no anomalous dispersion.

Principal peaks in the range 10 to 90 degrees two-theta, by intensity:
2θ = 41.35°, intensity 100; 2θ = 37.84°, intensity 86; 2θ = 24.97°, intensity 29; 2θ = 43.33°, intensity 24; 2θ = 35.61°, intensity 20; 2θ = 48.31°, intensity 19; 2θ = 63.95°, intensity 18; 2θ = 76.77°, intensity 18; 2θ = 43.98°, intensity 18; 2θ = 75.39°, intensity 15

Atomic structure:
Cell lengths 8.7348, 8.7348, 8.7348 Å; angles 60.00, 60.00, 60.00 degrees
Fractional positions:
Y 0.2121 0.2121 0.7879
Y 0.2121 0.7879 0.2121
Y 0.2121 0.7879 0.7879
Y 0.7879 0.2121 0.2121
Y 0.7879 0.2121 0.7879
Y 0.7879 0.7879 0.2121
Al 0.0000 0.0000 0.5000
Al 0.0000 0.5000 0.0000
Al 0.0000 0.5000 0.5000
Al 0.5000 0.0000 0.0000
Al 0.5000 0.0000 0.5000
Al 0.5000 0.5000 0.0000
Al 0.5000 0.5000 0.5000
Cu 0.1350 0.6217 0.6217
Cu 0.1737 0.1737 0.1737
Cu 0.1737 0.1737 0.4788
Cu 0.1737 0.4788 0.1737
Cu 0.3783 0.3783 0.3783
Cu 0.3783 0.3783 0.8650
Cu 0.3783 0.8650 0.3783
Cu 0.4788 0.1737 0.1737
Cu 0.5212 0.8263 0.8263
Cu 0.6217 0.1350 0.6217
Cu 0.6217 0.6217 0.1350
Cu 0.6217 0.6217 0.6217
Cu 0.8263 0.5212 0.8263
Cu 0.8263 0.8263 0.5212
Cu 0.8263 0.8263 0.8263
Cu 0.8650 0.3783 0.3783

5.
For YAlCu11, a structure optimized by DFT (GGA-PBE) gives the theoretical X-ray powder pattern in this record (copper Kα).
Neutral-atom scattering factors, no anomalous dispersion.

Principal peaks in the range 10 to 90 degrees two-theta, by intensity:
2θ = 42.83°, intensity 100; 2θ = 42.35°, intensity 73; 2θ = 42.99°, intensity 40; 2θ = 42.01°, intensity 38; 2θ = 48.08°, intensity 36; 2θ = 36.70°, intensity 34; 2θ = 48.36°, intensity 31; 2θ = 47.71°, intensity 30; 2θ = 37.08°, intensity 26; 2θ = 42.25°, intensity 25

Atomic structure:
Cell lengths 6.4458, 6.4458, 6.5512 Å; angles 97.86, 97.86, 135.81 degrees
Fractional positions:
Y 0.0000 0.0000 0.0000
Al 0.5000 0.5000 0.5000
Cu 0.0000 0.0000 0.5000
Cu 0.0000 0.5000 0.0000
Cu 0.0073 0.6502 0.6474
Cu 0.2803 0.5031 0.7794
Cu 0.3498 0.9927 0.3526
Cu 0.4969 0.7197 0.2206
Cu 0.5000 0.0000 0.0000
Cu 0.5031 0.2803 0.7794
Cu 0.6502 0.0073 0.6474
Cu 0.7197 0.4969 0.2206
Cu 0.9927 0.3498 0.3526

6.
For YAlCu6, a structure optimized by DFT (GGA-PBE) gives the theoretical X-ray powder pattern in this record (copper Kα).
Neutral-atom scattering factors, no anomalous dispersion.

Principal peaks in the range 10 to 90 degrees two-theta, by intensity:
2θ = 41.34°, intensity 100; 2θ = 45.50°, intensity 62; 2θ = 36.81°, intensity 29; 2θ = 72.41°, intensity 29; 2θ = 69.38°, intensity 20; 2θ = 78.31°, intensity 12; 2θ = 89.82°, intensity 8; 2θ = 66.30°, intensity 8; 2θ = 18.17°, intensity 8; 2θ = 31.74°, intensity 7

Atomic structure:
Cell lengths 4.8836, 4.8836, 4.8836 Å; angles 90.00, 90.00, 90.00 degrees
Fractional positions:
Y 0.0000 0.0000 0.0000
Al 0.5000 0.5000 0.5000
Cu 0.0000 0.2600 0.5000
Cu 0.0000 0.7400 0.5000
Cu 0.2600 0.5000 0.0000
Cu 0.5000 0.0000 0.2600
Cu 0.5000 0.0000 0.7400
Cu 0.7400 0.5000 0.0000

7.
For YAl2Zn8Cu, a structure optimized by DFT (GGA-PBE) gives the theoretical X-ray powder pattern in this record (copper Kα).
Neutral-atom scattering factors, no anomalous dispersion.

Principal peaks in the range 10 to 90 degrees two-theta, by intensity:
2θ = 38.41°, intensity 100; 2θ = 40.06°, intensity 90; 2θ = 40.39°, intensity 76; 2θ = 45.54°, intensity 59; 2θ = 28.00°, intensity 57; 2θ = 44.93°, intensity 56; 2θ = 24.75°, intensity 47; 2θ = 42.26°, intensity 43; 2θ = 36.29°, intensity 37; 2θ = 41.14°, intensity 34

Atomic structure:
Cell lengths 4.7140, 4.7140, 10.2150 Å; angles 94.25, 94.25, 64.33 degrees
Fractional positions:
Y 0.0000 0.0000 0.0000
Al 0.3349 0.3349 0.1649
Al 0.6651 0.6651 0.8351
Zn 0.1658 0.6746 0.6932
Zn 0.3195 0.3195 0.8876
Zn 0.3254 0.8342 0.3068
Zn 0.3315 0.3315 0.4614
Zn 0.6685 0.6685 0.5386
Zn 0.6746 0.1658 0.6932
Zn 0.6805 0.6805 0.1124
Zn 0.8342 0.3254 0.3068
Cu 0.0000 0.0000 0.5000

8.
For Al2ZnCu8, a structure optimized by DFT (GGA-PBE) gives the theoretical X-ray powder pattern in this record (copper Kα).
Neutral-atom scattering factors, no anomalous dispersion.

Principal peaks in the range 10 to 90 degrees two-theta, by intensity:
2θ = 42.41°, intensity 100; 2θ = 42.53°, intensity 98; 2θ = 47.88°, intensity 34; 2θ = 49.14°, intensity 31; 2θ = 51.27°, intensity 27; 2θ = 71.04°, intensity 19; 2θ = 87.32°, intensity 16; 2θ = 85.60°, intensity 11; 2θ = 85.34°, intensity 11; 2θ = 72.58°, intensity 9

Atomic structure:
Cell lengths 4.5359, 4.5840, 6.7806 Å; angles 81.39, 88.99, 82.15 degrees
Fractional positions:
Al 0.1242 0.1857 0.2779
Al 0.8758 0.8143 0.7221
Zn 0.5000 0.0000 0.0000
Cu 0.0437 0.7274 0.0926
Cu 0.2284 0.6334 0.4537
Cu 0.3245 0.0930 0.6353
Cu 0.4112 0.5488 0.8170
Cu 0.5888 0.4512 0.1830
Cu 0.6755 0.9070 0.3647
Cu 0.7716 0.3666 0.5463
Cu 0.9563 0.2726 0.9074

9.
For AlZn8Cu6, a structure optimized by DFT (GGA-PBE) gives the theoretical X-ray powder pattern in this record (copper Kα).
Neutral-atom scattering factors, no anomalous dispersion.

Principal peaks in the range 10 to 90 degrees two-theta, by intensity:
2θ = 43.98°, intensity 100; 2θ = 80.90°, intensity 23; 2θ = 63.95°, intensity 16; 2θ = 24.99°, intensity 14; 2θ = 30.71°, intensity 8; 2θ = 80.77°, intensity 5; 2θ = 17.57°, intensity 4; 2θ = 51.27°, intensity 2; 2θ = 72.63°, intensity 2; 2θ = 54.61°, intensity 2

Atomic structure:
Cell lengths 6.5133, 6.5133, 6.5133 Å; angles 66.34, 66.34, 66.34 degrees
Fractional positions:
Al 0.0000 0.0000 0.0000
Zn 0.1236 0.4526 0.7898
Zn 0.2102 0.8764 0.5474
Zn 0.3381 0.3381 0.3381
Zn 0.4526 0.7898 0.1236
Zn 0.5474 0.2102 0.8764
Zn 0.6619 0.6619 0.6619
Zn 0.7898 0.1236 0.4526
Zn 0.8764 0.5474 0.2102
Cu 0.0429 0.7136 0.3801
Cu 0.2864 0.6199 0.9571
Cu 0.3801 0.0429 0.7136
Cu 0.6199 0.9571 0.2864
Cu 0.7136 0.3801 0.0429
Cu 0.9571 0.2864 0.6199

10.
For AlZn4Cu, a structure optimized by DFT (GGA-PBE) gives the theoretical X-ray powder pattern in this record (copper Kα).
Neutral-atom scattering factors, no anomalous dispersion.

Principal peaks in the range 10 to 90 degrees two-theta, by intensity:
2θ = 43.09°, intensity 100; 2θ = 33.43°, intensity 76; 2θ = 33.08°, intensity 74; 2θ = 42.81°, intensity 68; 2θ = 45.49°, intensity 53; 2θ = 45.90°, intensity 47; 2θ = 47.87°, intensity 44; 2θ = 18.58°, intensity 36; 2θ = 72.00°, intensity 34; 2θ = 42.95°, intensity 33

Atomic structure:
Cell lengths 6.5415, 6.4989, 6.2796 Å; angles 61.56, 60.87, 57.57 degrees
Fractional positions:
Al 0.0000 0.0000 0.5000
Al 0.5000 0.5000 0.0000
Zn 0.0085 0.7102 0.2898
Zn 0.2079 0.5133 0.7921
Zn 0.2898 0.9915 0.0085
Zn 0.4867 0.7921 0.5133
Zn 0.5133 0.2079 0.4867
Zn 0.7102 0.0085 0.9915
Zn 0.7921 0.4867 0.2079
Zn 0.9915 0.2898 0.7102
Cu 0.2500 0.2500 0.2500
Cu 0.7500 0.7500 0.7500

11.
For Al2Zn2Cu7, a structure optimized by DFT (GGA-PBE) gives the theoretical X-ray powder pattern in this record (copper Kα).
Neutral-atom scattering factors, no anomalous dispersion.

Principal peaks in the range 10 to 90 degrees two-theta, by intensity:
2θ = 43.83°, intensity 100; 2θ = 44.86°, intensity 57; 2θ = 43.26°, intensity 42; 2θ = 44.16°, intensity 20; 2θ = 39.92°, intensity 13; 2θ = 29.33°, intensity 12; 2θ = 63.98°, intensity 12; 2θ = 34.23°, intensity 10; 2θ = 17.45°, intensity 10; 2θ = 80.55°, intensity 9

Atomic structure:
Cell lengths 6.4929, 6.4929, 6.4929 Å; angles 142.91, 77.00, 115.29 degrees
Fractional positions:
Al 0.2381 0.0000 0.2381
Al 0.7619 0.0000 0.7619
Zn 0.4759 0.9759 0.5000
Zn 0.6993 0.6993 0.0000
Cu 0.0229 0.6703 0.3525
Cu 0.0587 0.0587 0.0000
Cu 0.2418 0.3754 0.8665
Cu 0.3178 0.6703 0.6475
Cu 0.5089 0.3754 0.1335
Cu 0.6954 0.3193 0.3761
Cu 0.9432 0.3193 0.6239

12.
For Al2Zn2Cu5, a structure optimized by DFT (GGA-PBE) gives the theoretical X-ray powder pattern in this record (copper Kα).
Neutral-atom scattering factors, no anomalous dispersion.

Principal peaks in the range 10 to 90 degrees two-theta, by intensity:
2θ = 46.10°, intensity 100; 2θ = 41.59°, intensity 70; 2θ = 41.36°, intensity 69; 2θ = 42.34°, intensity 64; 2θ = 43.17°, intensity 61; 2θ = 54.53°, intensity 29; 2θ = 65.37°, intensity 16; 2θ = 83.35°, intensity 15; 2θ = 69.10°, intensity 13; 2θ = 73.68°, intensity 11

Atomic structure:
Cell lengths 2.8551, 5.4378, 8.1571 Å; angles 74.46, 89.96, 75.07 degrees
Fractional positions:
Al 0.1757 0.1493 0.2192
Al 0.8243 0.8507 0.7808
Zn 0.4921 0.5158 0.3310
Zn 0.5079 0.4842 0.6690
Cu 0.1655 0.1697 0.8939
Cu 0.1667 0.1658 0.5488
Cu 0.5000 0.5000 0.0000
Cu 0.8333 0.8342 0.4512
Cu 0.8345 0.8303 0.1061

13.
For AlZn4Cu3, a structure optimized by DFT (GGA-PBE) gives the theoretical X-ray powder pattern in this record (copper Kα).
Neutral-atom scattering factors, no anomalous dispersion.

Principal peaks in the range 10 to 90 degrees two-theta, by intensity:
2θ = 44.07°, intensity 100; 2θ = 43.86°, intensity 90; 2θ = 41.84°, intensity 88; 2θ = 39.80°, intensity 58; 2θ = 40.66°, intensity 37; 2θ = 70.42°, intensity 32; 2θ = 44.39°, intensity 30; 2θ = 85.83°, intensity 25; 2θ = 50.34°, intensity 25; 2θ = 44.80°, intensity 24

Atomic structure:
Cell lengths 9.0186, 9.0186, 4.6053 Å; angles 104.19, 104.19, 17.36 degrees
Fractional positions:
Al 0.0000 0.0000 0.0000
Zn 0.1239 0.1239 0.4818
Zn 0.2469 0.2469 0.2424
Zn 0.7531 0.7531 0.7576
Zn 0.8761 0.8761 0.5182
Cu 0.3780 0.3780 0.0297
Cu 0.5000 0.5000 0.5000
Cu 0.6220 0.6220 0.9703